Structure and theoretical powder diffraction line list of HfTi2SbN (a DFT-relaxed cell (GGA-PBE, Alexandria); Cu Ka).

Structural model:
```
5
Lattice="4.152 0.000 0.000 0.000 4.152 0.000 0.000 0.000 4.613" Properties=species:S:1:pos:R:3 pbc="T T T"
Hf 0.000 0.000 0.000
Ti 0.000 2.076 2.307
Ti 2.076 0.000 2.307
Sb 2.076 2.076 0.000
N 0.000 0.000 2.307
```

Top 10 peaks for 10 to 90 degrees two-theta, in order of falling intensity:
d [Å]	2theta	I_rel
2.477	36.27	100
2.076	43.60	34
4.613	19.24	28
2.936	30.45	26
1.543	59.95	25
2.307	39.05	23
1.263	75.25	23
1.362	68.94	15
1.814	50.31	13
1.238	77.00	12